Starting from DFT lattice parameters and positions (GGA-PBE), the powder diffractogram of Tb12Al7Si was calculated for Cu Kα, 1.54184 Å.

Structural model:
Cell lengths 11.713, 11.713, 15.317 Å; angles 90.00, 90.00, 90.00 degrees
Space group I4/mcm (No. 140)
Asymmetric unit:
Tb: 0.000 0.500 0.148 (multiplicity 8)
Tb: 0.064 0.199 0.137 (multiplicity 32)
Tb: 0.172 0.328 0.500 (multiplicity 8)
Al: 0.000 0.000 0.000 (multiplicity 4)
Al: 0.119 0.381 0.000 (multiplicity 8)
Al: 0.178 0.322 0.296 (multiplicity 16)
Si: 0.000 0.000 0.250 (multiplicity 4)

Most intense lines, 2θ from 10° to 80°, most intense first:
- 2θ = 33.7°, rel. 100
- 2θ = 32.0°, rel. 98
- 2θ = 32.7°, rel. 48
- 2θ = 52.8°, rel. 44
- 2θ = 24.3°, rel. 40
- 2θ = 23.2°, rel. 40
- 2θ = 32.4°, rel. 39
- 2θ = 24.0°, rel. 28
- 2θ = 36.2°, rel. 27
- 2θ = 55.1°, rel. 25

=====

Starting from DFT lattice parameters and positions (GGA-PBE), the powder diffractogram of TbAl2SiTc2 was calculated for Cu Kα, 1.54184 Å.

Structural model:
Cell lengths 4.504, 4.504, 5.573 Å; angles 90.00, 90.00, 90.00 degrees
Space group P4/mmm (No. 123)
Asymmetric unit:
Tb: 0.000 0.000 0.000 (multiplicity 1)
Al: 0.500 0.500 0.244 (multiplicity 2)
Si: 0.000 0.000 0.500 (multiplicity 1)
Tc: 0.000 0.500 0.500 (multiplicity 2)

Most intense lines, 2θ from 10° to 80°, most intense first:
- 2θ = 32.4°, rel. 100
- 2θ = 40.0°, rel. 49
- 2θ = 38.0°, rel. 34
- 2θ = 19.7°, rel. 27
- 2θ = 25.4°, rel. 26
- 2θ = 52.2°, rel. 26
- 2θ = 32.1°, rel. 26
- 2θ = 67.9°, rel. 23
- 2θ = 56.4°, rel. 21
- 2θ = 57.4°, rel. 18

=====

Starting from DFT lattice parameters and positions (GGA-PBE), the powder diffractogram of Al2Si3Tc4 was calculated for Cu Kα, 1.54184 Å.

Structural model:
Cell lengths 8.029, 3.990, 7.835 Å; angles 90.00, 94.70, 90.00 degrees
Space group C2/m (No. 12)
Asymmetric unit:
Al: 0.187 0.000 0.209 (multiplicity 4)
Si: 0.000 0.500 0.000 (multiplicity 2)
Si: 0.151 0.000 0.565 (multiplicity 4)
Tc: 0.050 0.500 0.353 (multiplicity 4)
Tc: 0.139 0.000 0.876 (multiplicity 4)

Most intense lines, 2θ from 10° to 80°, most intense first:
- 2θ = 42.2°, rel. 100
- 2θ = 27.8°, rel. 87
- 2θ = 40.7°, rel. 70
- 2θ = 45.5°, rel. 41
- 2θ = 43.0°, rel. 29
- 2θ = 41.6°, rel. 27
- 2θ = 30.7°, rel. 26
- 2θ = 33.4°, rel. 23
- 2θ = 64.3°, rel. 17
- 2θ = 69.4°, rel. 15